This entry pairs a crystal structure of Ba6PAu with its theoretical powder X-ray diffraction pattern. Radiation: copper Kα. Structure: a crystal structure in Alexandria, relaxed with GGA-PBE.

Top 8 peaks for 2θ = 10–90°, in order of rising 2θ:
2θ 14.01, I 23
2θ 25.08, I 100
2θ 32.34, I 41
2θ 38.93, I 32
2θ 41.97, I 24
2θ 46.88, I 18
2θ 62.52, I 15
2θ 63.03, I 15

Crystal structure
```
Ba6PAu
1.0
8.0134 0.0000 0.0000
-4.0067 6.9398 0.0000
0.0000 0.0000 15.3130
Ba P Au
12 2 2
direct
0.0028 0.3243 0.1223
0.0028 0.6785 0.3777
0.3215 0.3243 0.3777
0.3215 0.9972 0.1223
0.3243 0.0028 0.6223
0.3243 0.3215 0.8777
0.6757 0.6785 0.1223
0.6757 0.9972 0.3777
0.6785 0.0028 0.8777
0.6785 0.6757 0.6223
0.9972 0.3215 0.6223
0.9972 0.6757 0.8777
0.0000 0.0000 0.0000
0.0000 0.0000 0.5000
0.3333 0.6667 0.2500
0.6667 0.3333 0.7500
```

***

This entry pairs a crystal structure of KCu3F7 with its theoretical powder X-ray diffraction pattern. Radiation: copper Kα. Structure: a crystal structure in Alexandria, relaxed with GGA-PBE.

Top 8 peaks for 2θ = 10–90°, in order of rising 2θ:
2θ 16.96, I 36
2θ 24.28, I 100
2θ 29.59, I 88
2θ 36.45, I 43
2θ 41.85, I 72
2θ 43.75, I 20
2θ 52.30, I 24
2θ 57.96, I 24

Crystal structure
```
KCu3F7
1.0
3.8274 -3.7273 0.0000
3.8274 3.7273 0.0000
-1.5431 0.0000 5.1453
K Cu F
1 3 7
direct
0.0000 0.0000 0.0000
0.2742 0.7258 0.5000
0.5000 0.5000 0.0000
0.7258 0.2742 0.5000
0.0000 0.0000 0.5000
0.1677 0.5689 0.7527
0.3622 0.3622 0.2565
0.4311 0.8323 0.2473
0.5689 0.1677 0.7527
0.6378 0.6378 0.7435
0.8323 0.4311 0.2473
```

***

This entry pairs a crystal structure of In4SI3 with its theoretical powder X-ray diffraction pattern. Radiation: copper Kα. Structure: a crystal structure in Alexandria, relaxed with GGA-PBE.

Top 8 peaks for 2θ = 10–90°, in order of rising 2θ:
2θ 21.40, I 100
2θ 24.51, I 51
2θ 25.27, I 92
2θ 26.47, I 26
2θ 33.35, I 61
2θ 34.19, I 26
2θ 35.49, I 44
2θ 38.66, I 24

Crystal structure
```
In4SI3
1.0
8.9808 0.0000 0.0000
0.0000 10.8957 0.0000
0.0000 0.0000 7.0495
In S I
8 2 6
direct
0.0000 0.0319 0.0000
0.0000 0.7726 0.4106
0.2116 0.3318 0.5042
0.2884 0.6682 0.0042
0.5000 0.2274 0.9106
0.5000 0.9681 0.5000
0.7116 0.6682 0.0042
0.7884 0.3318 0.5042
0.0000 0.7734 0.0423
0.5000 0.2266 0.5423
0.0000 0.0511 0.4985
0.2095 0.3483 0.0133
0.2905 0.6517 0.5133
0.5000 0.9489 0.9985
0.7095 0.6517 0.5133
0.7905 0.3483 0.0133
```

***

This entry pairs a crystal structure of RbAlRe with its theoretical powder X-ray diffraction pattern. Radiation: copper Kα. Structure: a crystal structure in Alexandria, relaxed with GGA-PBE.

Top 8 peaks for 2θ = 10–90°, in order of rising 2θ:
2θ 14.23, I 69
2θ 20.49, I 50
2θ 21.41, I 100
2θ 27.35, I 38
2θ 32.75, I 59
2θ 34.78, I 48
2θ 35.04, I 44
2θ 41.49, I 76

Crystal structure
```
RbAlRe
1.0
3.3103 0.0000 0.0000
1.6551 4.4252 0.0000
1.5485 1.8549 12.4514
Rb Al Re
2 2 2
direct
0.1915 0.3220 0.3164
0.8085 0.6780 0.6836
0.4740 0.1580 0.8876
0.5260 0.8420 0.1124
0.1718 0.6937 0.9591
0.8282 0.3063 0.0409
```